Entry 1:
NdTh9O20: theoretical X-ray powder pattern (copper Kα), based on the PBE geometry in Alexandria.
Lines closer than 0.1° are merged.

The 9 most intense peaks (2θ = 10–90°), by angle:
2θ/deg  Rel. int.
27.48  100.0
31.84  36.4
45.65  50.7
54.11  47.8
56.73  10.6
66.54  8.0
73.43  19.6
75.66  14.5
84.43  16.9

Atomic structure:
a = 6.885 Å, b = 7.949 Å, c = 8.887 Å
α = 102.92°, β = 97.42°, γ = 106.78°
Positions (direct):
Nd: 0.000 0.000 0.000
Th: 0.000 0.500 0.000
Th: 0.200 0.399 0.399
Th: 0.200 0.900 0.398
Th: 0.397 0.299 0.800
Th: 0.400 0.801 0.801
Th: 0.600 0.199 0.199
Th: 0.603 0.701 0.200
Th: 0.800 0.100 0.602
Th: 0.800 0.601 0.601
O: 0.050 0.229 0.847
O: 0.051 0.719 0.847
O: 0.148 0.174 0.549
O: 0.150 0.675 0.548
O: 0.253 0.626 0.250
O: 0.256 0.128 0.254
O: 0.351 0.575 0.951
O: 0.356 0.077 0.948
O: 0.448 0.025 0.649
O: 0.448 0.524 0.649
O: 0.552 0.476 0.351
O: 0.552 0.975 0.351
O: 0.644 0.923 0.052
O: 0.649 0.425 0.049
O: 0.744 0.872 0.746
O: 0.747 0.374 0.750
O: 0.850 0.325 0.452
O: 0.852 0.826 0.451
O: 0.949 0.281 0.153
O: 0.950 0.771 0.153

***

Entry 2:
Ta2I5: theoretical X-ray powder pattern (copper Kα), based on the PBE geometry in Alexandria.
Lines closer than 0.1° are merged.

The 10 most intense peaks (2θ = 10–90°), by angle:
2θ/deg  Rel. int.
11.56  100.0
14.38  23.2
15.49  22.4
17.90  51.5
28.97  18.8
29.13  28.5
29.37  28.1
34.24  33.5
45.51  20.1
45.65  15.4

Atomic structure:
a = 6.473 Å, b = 6.484 Å, c = 8.305 Å
α = 67.14°, β = 83.72°, γ = 72.07°
Positions (direct):
Ta: 0.000 0.000 0.000
Ta: 0.351 0.650 0.000
I: 0.171 0.988 0.674
I: 0.174 0.379 0.891
I: 0.179 0.667 0.312
I: 0.674 0.879 0.891
I: 0.679 0.215 0.219

***

Entry 3:
Mg16Al12Ni: theoretical X-ray powder pattern (copper Kα), based on the PBE geometry in Alexandria.
Lines closer than 0.1° are merged.

The 10 most intense peaks (2θ = 10–90°), by angle:
2θ/deg  Rel. int.
12.08  21.8
34.39  33.5
36.28  62.9
36.58  61.5
36.77  100.0
39.99  23.0
40.65  36.9
40.81  32.6
44.15  25.8
65.69  26.5

Atomic structure:
a = 8.992 Å, b = 8.992 Å, c = 8.992 Å
α = 109.08°, β = 109.08°, γ = 109.08°
Positions (direct):
Mg: 0.000 0.000 0.000
Mg: 0.008 0.008 0.657
Mg: 0.008 0.657 0.008
Mg: 0.016 0.415 0.690
Mg: 0.016 0.690 0.415
Mg: 0.315 0.578 0.578
Mg: 0.325 0.325 0.733
Mg: 0.325 0.733 0.325
Mg: 0.415 0.016 0.690
Mg: 0.415 0.690 0.016
Mg: 0.578 0.315 0.578
Mg: 0.578 0.578 0.315
Mg: 0.657 0.008 0.008
Mg: 0.690 0.016 0.415
Mg: 0.690 0.415 0.016
Mg: 0.733 0.325 0.325
Al: 0.013 0.192 0.371
Al: 0.013 0.371 0.192
Al: 0.192 0.013 0.371
Al: 0.192 0.371 0.013
Al: 0.210 0.819 0.819
Al: 0.371 0.013 0.192
Al: 0.371 0.192 0.013
Al: 0.659 0.659 0.849
Al: 0.659 0.849 0.659
Al: 0.819 0.210 0.819
Al: 0.819 0.819 0.210
Al: 0.849 0.659 0.659
Ni: 0.276 0.276 0.276

***

Entry 4:
NdTmSb2O8: theoretical X-ray powder pattern (copper Kα), based on the PBE geometry in Alexandria.
Lines closer than 0.1° are merged.

The 10 most intense peaks (2θ = 10–90°), by angle:
2θ/deg  Rel. int.
28.56  100.0
31.58  13.9
33.83  20.6
46.95  31.2
48.59  14.8
54.40  16.5
57.33  28.2
59.11  11.0
75.90  12.2
89.68  8.7

Atomic structure:
a = 6.793 Å, b = 6.793 Å, c = 6.793 Å
α = 134.08°, β = 134.08°, γ = 66.97°
Positions (direct):
Nd: 0.000 0.000 0.000
Tm: 0.250 0.750 0.500
Sb: 0.500 0.500 0.000
Sb: 0.750 0.250 0.500
O: 0.022 0.083 0.435
O: 0.237 0.663 0.082
O: 0.337 0.419 0.574
O: 0.412 0.978 0.061
O: 0.581 0.155 0.918
O: 0.649 0.588 0.565
O: 0.845 0.763 0.426
O: 0.917 0.351 0.939

***

Entry 5:
Cd4CoOs: theoretical X-ray powder pattern (copper Kα), based on the PBE geometry in Alexandria.
Lines closer than 0.1° are merged.

The 10 most intense peaks (2θ = 10–90°), by angle:
2θ/deg  Rel. int.
20.02  11.1
23.16  8.2
32.99  28.1
38.89  100.0
40.69  38.5
58.91  10.6
62.87  31.4
69.19  25.3
82.32  11.0
83.49  13.7

Atomic structure:
a = 5.431 Å, b = 5.431 Å, c = 5.431 Å
α = 60.00°, β = 60.00°, γ = 60.00°
Positions (direct):
Cd: 0.125 0.125 0.125
Cd: 0.125 0.125 0.625
Cd: 0.125 0.625 0.125
Cd: 0.625 0.125 0.125
Co: 0.750 0.750 0.750
Os: 0.500 0.500 0.500

***

Entry 6:
Cs3Te3Pb: theoretical X-ray powder pattern (copper Kα), based on the PBE geometry in Alexandria.
Lines closer than 0.1° are merged.

The 10 most intense peaks (2θ = 10–90°), by angle:
2θ/deg  Rel. int.
11.33  30.0
12.68  57.8
20.51  48.3
22.63  39.4
22.77  40.7
22.92  44.8
23.51  41.9
31.49  58.1
31.60  74.2
32.53  100.0

Atomic structure:
a = 12.356 Å, b = 12.356 Å, c = 15.619 Å
α = 90.00°, β = 90.00°, γ = 39.15°
Positions (direct):
Cs: 0.009 0.343 0.871
Cs: 0.157 0.491 0.629
Cs: 0.167 0.833 0.844
Cs: 0.333 0.667 0.344
Cs: 0.343 0.009 0.129
Cs: 0.491 0.157 0.371
Cs: 0.509 0.843 0.629
Cs: 0.657 0.991 0.871
Cs: 0.667 0.333 0.656
Cs: 0.833 0.167 0.156
Cs: 0.843 0.509 0.371
Cs: 0.991 0.657 0.129
Te: 0.028 0.658 0.380
Te: 0.158 0.528 0.880
Te: 0.222 0.778 0.598
Te: 0.278 0.722 0.098
Te: 0.342 0.972 0.380
Te: 0.472 0.842 0.880
Te: 0.528 0.158 0.120
Te: 0.658 0.028 0.620
Te: 0.722 0.278 0.902
Te: 0.778 0.222 0.402
Te: 0.842 0.472 0.120
Te: 0.972 0.342 0.620
Pb: 0.084 0.084 0.500
Pb: 0.416 0.416 0.000
Pb: 0.584 0.584 0.000
Pb: 0.916 0.916 0.500